Diffraction record for Mg2Sn. The X-ray diffraction stick pattern is computed, not measured: it uses the PBE geometry in the Materials Project and Cu Kα (weighted mean of Kα1 and Kα2).
Peak positions follow from Bragg's law for the DFT cell and can differ from measured ones.

Atomic structure:
Cell lengths 3.469, 15.847, 5.149 Å; angles 90.00, 90.00, 90.00 degrees
Space group Cmcm (No. 63)
Inequivalent atoms, fractional coordinates:
Mg 0.000 0.057 0.250 x4
Mg 0.000 0.276 0.750 x4
Sn 0.000 0.388 0.250 x4

Peak list (10 most intense, 2θ from 15° to 90°, by angle)
- 2θ 20.57, d 4.317, intensity 75.7, (0 2 1)
- 2θ 22.44, d 3.962, intensity 28.7, (0 4 0)
- 2θ 26.30, d 3.389, intensity 25.2, (1 1 0)
- 2θ 30.84, d 2.900, intensity 24.3, (1 3 0)
- 2θ 31.61, d 2.831, intensity 23.2, (1 1 1)
- 2θ 34.85, d 2.574, intensity 35.1, (0 0 2)
- 2θ 35.53, d 2.527, intensity 100.0, (1 3 1)
- 2θ 38.30, d 2.350, intensity 40.7, (0 6 1)
- 2θ 62.93, d 1.477, intensity 19.2, (1 3 3)
- 2θ 64.80, d 1.439, intensity 20.5, (2 0 2)